Computed XRD peak list
Compound: Ba2FeCuO4
Radiation: copper Kα
Structure: DFT lattice parameters and positions (PBE+U)
Kinematic intensities with the Lorentz-polarization factor, no thermal factor.

Cell and atoms:
Cell: 6.0663 6.0663 7.1401 Å, 90.00 90.00 90.00°
Space group I-4 (No. 82)
Symmetry-distinct sites (fractional):
1 Ba 0.0000 0.0000 0.0000
2 Ba 0.0000 0.5000 0.2500
3 Fe 0.0000 0.5000 0.7500
4 Cu 0.0000 0.0000 0.5000
5 O 0.1583 0.7224 0.6119

Most intense lines, 10 to 80 degrees two-theta, low angle first:
2θ (°)	I (rel.)	h k l
29.4	50	2 0 0
32.6	100	1 1 2
35.4	14	1 2 1
42.1	27	2 2 0
54.3	45	3 1 2
60.1	19	2 0 4